# Cu2P8Se3I2
Calculated XRD peak list, λ = 1.5418 Å (Cu Kα). Input: a DFT-relaxed cell (GGA-PBE, OQMD).

Largest 10 diffraction maxima, low angle first, 2θ = 15–90°:
two_theta  d_spacing  I_rel  hkl
19.02  4.666  61  0 2 2
22.56  3.941  55  1 1 3
26.62  3.348  63  1 3 2
27.37  3.258  74  1 0 4
28.31  3.152  77  1 1 4
30.47  2.934  100  3 1 1
30.72  2.911  63  1 4 1
31.22  2.865  51  0 4 2
32.93  2.720  56  3 2 1
38.82  2.319  58  0 0 6

Cell and atoms:
```
Cu2P8Se3I2
1.0
9.272 0.000 0.000
0.000 12.574 0.000
0.000 0.000 13.921
Cu P Se I
8 32 12 8
Direct
0.001 0.126 0.250
0.001 0.374 0.750
0.192 0.080 0.750
0.192 0.420 0.250
0.808 0.580 0.750
0.808 0.920 0.250
0.999 0.626 0.250
0.999 0.874 0.750
0.075 0.195 0.108
0.075 0.195 0.392
0.075 0.305 0.608
0.075 0.305 0.892
0.183 0.072 0.020
0.183 0.072 0.480
0.183 0.428 0.520
0.183 0.428 0.980
0.234 0.167 0.612
0.234 0.167 0.888
0.234 0.333 0.112
0.234 0.333 0.388
0.447 0.244 0.579
0.447 0.244 0.921
0.447 0.256 0.079
0.447 0.256 0.421
0.553 0.744 0.579
0.553 0.744 0.921
0.553 0.756 0.079
0.553 0.756 0.421
0.766 0.667 0.612
0.766 0.667 0.888
0.766 0.833 0.112
0.766 0.833 0.388
0.817 0.572 0.020
0.817 0.572 0.480
0.817 0.928 0.520
0.817 0.928 0.980
0.925 0.695 0.108
0.925 0.695 0.392
0.925 0.805 0.608
0.925 0.805 0.892
0.094 0.750 0.000
0.094 0.750 0.500
0.395 0.081 0.106
0.395 0.081 0.394
0.395 0.419 0.606
0.395 0.419 0.894
0.605 0.581 0.106
0.605 0.581 0.394
0.605 0.919 0.606
0.605 0.919 0.894
0.906 0.250 0.000
0.906 0.250 0.500
0.097 0.573 0.750
0.097 0.927 0.250
0.283 0.616 0.250
0.283 0.884 0.750
0.717 0.116 0.250
0.717 0.384 0.750
0.903 0.073 0.750
0.903 0.427 0.250
```